Entry 1:
Calculated powder diffractogram
Compound: NdAl3Pb2O8
Radiation: λ = 1.5418 Å (Cu Kα)
Structure: a DFT-relaxed cell (GGA-PBE, the Materials Project)
Kinematic intensities with the Lorentz-polarization factor, no thermal factor.

Most intense lines, 2θ = 10–90°, in order of falling intensity:
d (Å)	I/Imax	h k l
3.211	100	2 2 1
3.046	75	3 1 0
6.811	74	1 1 0
2.904	64	3 1 1
2.270	45	3 3 0
1.703	39	4 4 0
1.854	34	5 1 1
1.889	30	5 1 0
1.677	25	5 2 2
2.336	23	3 2 2

Structure:
```
56
Lattice="9.6327 0.0000 0.0000 0.0000 9.6327 0.0000 0.0000 0.0000 9.6327" Properties=species:S:1:pos:R:3 pbc="T T T"
Nd 0.0000 0.0000 0.0000
Nd 0.0000 4.8163 4.8163
Nd 4.8163 0.0000 4.8163
Nd 4.8163 4.8163 0.0000
Al 0.0000 2.4082 7.2245
Al 0.0000 7.2245 2.4082
Al 2.4082 0.0000 7.2245
Al 2.4082 4.8163 7.2245
Al 2.4082 7.2245 0.0000
Al 2.4082 7.2245 4.8163
Al 4.8163 2.4082 7.2245
Al 4.8163 7.2245 2.4082
Al 7.2245 0.0000 2.4082
Al 7.2245 2.4082 0.0000
Al 7.2245 2.4082 4.8163
Al 7.2245 4.8163 2.4082
Pb 1.1293 1.1293 3.6871
Pb 1.1293 3.6871 1.1293
Pb 3.6871 1.1293 1.1293
Pb 3.6871 3.6871 3.6871
Pb 5.9456 5.9456 5.9456
Pb 5.9456 8.5034 8.5034
Pb 8.5034 5.9456 8.5034
Pb 8.5034 8.5034 5.9456
O 0.9013 0.9013 7.3561
O 0.9013 3.9151 7.0929
O 0.9013 7.0929 3.9151
O 0.9013 7.3561 0.9013
O 1.3559 1.3559 1.3559
O 1.3559 3.4604 3.4604
O 2.2766 5.7176 5.7176
O 2.2766 8.7314 8.7314
O 2.5397 5.7176 8.7314
O 2.5397 8.7314 5.7176
O 3.4604 1.3559 3.4604
O 3.4604 3.4604 1.3559
O 3.9151 0.9013 7.0929
O 3.9151 3.9151 7.3561
O 3.9151 7.0929 0.9013
O 3.9151 7.3561 3.9151
O 5.7176 2.2766 5.7176
O 5.7176 2.5397 8.7314
O 5.7176 5.7176 2.2766
O 5.7176 8.7314 2.5397
O 6.1723 6.1723 8.2767
O 6.1723 8.2767 6.1723
O 7.0929 0.9013 3.9151
O 7.0929 3.9151 0.9013
O 7.3561 0.9013 0.9013
O 7.3561 3.9151 3.9151
O 8.2767 6.1723 6.1723
O 8.2767 8.2767 8.2767
O 8.7314 2.2766 8.7314
O 8.7314 2.5397 5.7176
O 8.7314 5.7176 2.5397
O 8.7314 8.7314 2.2766
```

=====

Entry 2:
Calculated powder diffractogram
Compound: Tb6CoBr10
Radiation: λ = 1.5418 Å (Cu Kα)
Structure: a DFT-relaxed cell (GGA-PBE, the Materials Project)
Kinematic intensities with the Lorentz-polarization factor, no thermal factor.

Most intense lines, 2θ = 10–90°, in order of falling intensity:
d (Å)	I/Imax	h k l
2.935	100	1 1 -3
2.982	98	2 0 1
2.889	96	1 -3 0
8.536	65	0 0 1
2.058	64	0 4 -3
2.114	64	3 1 -2
8.212	61	0 1 0
2.036	34	1 3 1
2.071	34	1 -1 4
7.421	27	0 1 -1

Structure:
```
17
Lattice="7.3940 0.0000 0.0000 -2.4512 8.8180 0.0000 -1.1639 -3.3382 8.5363" Properties=species:S:1:pos:R:3 pbc="T T T"
Tb -0.7871 0.4793 3.4886
Tb -0.7392 3.9377 2.2002
Tb 0.3124 3.3426 5.7882
Tb 3.4664 2.1373 2.7481
Tb 4.5180 1.5422 6.3362
Tb 4.5659 5.0006 5.0477
Co -1.8076 2.7399 4.2682
Br -1.8824 6.5800 2.7934
Br 0.7771 1.6100 1.2807
Br -0.6724 1.9595 8.1812
Br -0.6062 5.8690 6.6081
Br 1.8691 0.8810 4.9977
Br 1.9098 4.5988 3.5386
Br 4.3850 -0.3891 1.9282
Br 4.4512 3.5204 0.3552
Br 3.0017 3.8699 7.2556
Br 5.6613 -1.1002 5.7430
```

=====

Entry 3:
Calculated powder diffractogram
Compound: Ba6Ru2PtCl2O12
Radiation: λ = 1.5418 Å (Cu Kα)
Structure: a DFT-relaxed cell (GGA-PBE, the Materials Project)
Kinematic intensities with the Lorentz-polarization factor, no thermal factor.

Most intense lines, 2θ = 10–90°, in order of falling intensity:
d (Å)	I/Imax	h k l
2.954	100	1 1 0
3.060	53	0 1 4
3.610	42	1 0 3
2.125	40	2 0 4
4.851	39	0 1 1
2.286	28	0 2 3
1.806	23	0 2 6
1.705	20	3 0 0
1.725	17	1 2 4
1.477	17	2 2 0

Structure:
```
23
Lattice="5.9074 0.0000 0.0000 -2.9537 5.1160 0.0000 0.0000 0.0000 15.2807" Properties=species:S:1:pos:R:3 pbc="T T T"
Ba 0.0000 3.4107 1.2384
Ba 0.0000 3.4107 5.5872
Ba 0.0000 3.4107 12.0084
Ba 2.9537 1.7053 3.2723
Ba 2.9537 1.7053 9.6935
Ba 2.9537 1.7053 14.0423
Ru 0.0000 0.0000 2.7921
Ru 0.0000 0.0000 12.4886
Pt 0.0000 0.0000 0.0000
Cl 0.0000 3.4107 8.8285
Cl 2.9537 1.7053 6.4522
O 0.0000 1.5512 13.9497
O -1.6103 4.3404 13.9497
O 0.0000 1.6461 3.7284
O -1.5282 4.2929 3.7284
O 1.3434 0.7756 1.3310
O 1.4256 0.8230 11.5523
O 1.5282 4.2929 3.7284
O 1.6103 4.3404 13.9497
O 4.4819 0.8230 11.5523
O 2.9537 3.4699 11.5523
O 4.5640 0.7756 1.3310
O 2.9537 3.5648 1.3310
```